This entry pairs a crystal structure of NbTl2Br7 with its theoretical PXRD pattern. Radiation: CuKα. Structure: the PBE geometry in Alexandria.
Peak positions follow from Bragg's law for the DFT cell and can differ from measured ones.

Cell and atoms:
```
20
Lattice="8.553 -4.211 0.000 8.553 4.211 0.000 -7.757 0.000 10.453" Properties=species:S:1:pos:R:3 pbc="T T T"
Nb 2.735 2.303 7.840
Nb 6.614 -2.303 2.613
Tl -0.928 2.106 10.081
Tl 6.398 2.106 5.599
Tl 2.951 -2.106 4.854
Tl 10.277 -2.106 0.372
Br 0.451 1.233 3.375
Br 3.281 2.840 5.329
Br 6.614 3.291 2.613
Br 2.190 2.840 10.351
Br -3.427 -1.233 8.602
Br 1.286 0.181 8.520
Br 5.165 -0.181 3.293
Br 4.184 0.181 7.160
Br 8.063 -0.181 1.934
Br 12.776 1.233 1.852
Br 7.159 -2.840 0.102
Br 2.735 -3.291 7.840
Br 6.068 -2.840 5.125
Br 8.898 -1.233 7.079
```

Largest 10 diffraction maxima, low angle first, 5° ≤ 2θ ≤ 70°:
two_theta	I (rel.)
12.89	97
17.02	100
19.04	58
21.10	48
27.19	53
28.40	46
29.82	50
32.57	47
35.64	46
38.42	47

=====

This entry pairs a crystal structure of NbTl3Br7 with its theoretical PXRD pattern. Radiation: CuKα. Structure: the PBE geometry in Alexandria.
Peak positions follow from Bragg's law for the DFT cell and can differ from measured ones.

Cell and atoms:
```
22
Lattice="5.339 -7.664 0.000 5.339 7.664 0.000 0.000 0.000 10.170" Properties=species:S:1:pos:R:3 pbc="T T T"
Nb 10.677 0.000 0.000
Nb 0.001 0.000 5.085
Tl 2.423 3.377 2.535
Tl 2.423 -3.377 7.635
Tl 5.261 0.000 5.085
Tl 5.417 0.000 0.000
Tl 8.255 3.377 2.550
Tl 8.255 -3.377 7.620
Br 5.339 6.856 7.627
Br 1.821 1.749 9.728
Br 1.840 1.743 5.519
Br 1.821 -1.749 0.442
Br 1.840 -1.743 4.651
Br 5.339 2.204 7.627
Br 5.339 2.133 2.542
Br 5.339 -2.133 7.627
Br 5.339 -2.204 2.542
Br 8.839 1.743 9.736
Br 8.858 1.749 5.527
Br 8.839 -1.743 0.434
Br 8.858 -1.749 4.643
Br 5.339 -6.856 2.542
```

Largest 10 diffraction maxima, low angle first, 5° ≤ 2θ ≤ 70°:
two_theta	I (rel.)
20.27	100
20.97	98
25.69	22
26.09	29
28.80	19
30.02	23
33.76	95
35.30	35
39.91	26
41.05	34

=====

This entry pairs a crystal structure of NbTl3Br6 with its theoretical PXRD pattern. Radiation: CuKα. Structure: the PBE geometry in Alexandria.
Peak positions follow from Bragg's law for the DFT cell and can differ from measured ones.

Cell and atoms:
```
10
Lattice="0.000 5.802 7.107 4.731 0.000 7.107 4.731 5.802 0.000" Properties=species:S:1:pos:R:3 pbc="T T T"
Nb 0.000 0.000 0.000
Tl 2.365 2.901 3.553
Tl 4.731 5.802 7.107
Tl 7.096 8.703 10.660
Br 7.575 5.802 5.244
Br 4.731 2.636 7.107
Br 7.575 5.802 8.970
Br 1.887 5.802 5.244
Br 4.731 8.968 7.107
Br 1.887 5.802 8.970
```

Largest 10 diffraction maxima, low angle first, 5° ≤ 2θ ≤ 70°:
two_theta	I (rel.)
19.75	45
22.58	100
29.48	23
30.82	40
35.17	53
38.04	16
38.54	47
42.69	16
57.65	20
69.02	21

=====

This entry pairs a crystal structure of Nb4TlBr7 with its theoretical PXRD pattern. Radiation: CuKα. Structure: the PBE geometry in Alexandria.
Peak positions follow from Bragg's law for the DFT cell and can differ from measured ones.

Cell and atoms:
```
24
Lattice="6.926 0.000 0.000 0.000 14.200 0.000 -1.140 0.000 7.611" Properties=species:S:1:pos:R:3 pbc="T T T"
Nb 0.116 0.892 1.984
Nb 0.116 6.208 1.984
Nb 0.712 0.226 4.398
Nb 0.712 6.874 4.398
Nb 5.074 7.326 3.213
Nb 5.074 13.974 3.213
Nb 5.671 7.992 5.628
Nb 5.671 13.308 5.628
Tl 0.389 10.650 3.403
Tl 5.397 3.550 4.208
Br -0.172 1.434 6.585
Br -0.172 5.666 6.585
Br 1.110 3.550 2.263
Br 1.159 8.964 6.159
Br 1.159 12.336 6.159
Br 2.202 7.921 2.384
Br 2.202 13.378 2.384
Br 3.585 0.821 5.227
Br 3.585 6.278 5.227
Br 4.627 1.864 1.453
Br 4.627 5.236 1.453
Br 4.676 10.650 5.348
Br 5.959 8.534 1.026
Br 5.959 12.766 1.026
```

Largest 10 diffraction maxima, low angle first, 5° ≤ 2θ ≤ 70°:
two_theta	I (rel.)
11.63	76
12.47	36
12.92	94
27.71	94
31.45	100
32.26	75
33.05	24
35.93	29
40.00	23
47.35	22

=====

This entry pairs a crystal structure of Nb2V2Br7 with its theoretical PXRD pattern. Radiation: CuKα. Structure: the PBE geometry in Alexandria.
Peak positions follow from Bragg's law for the DFT cell and can differ from measured ones.

Cell and atoms:
```
22
Lattice="5.114 -6.049 0.000 5.114 6.049 0.000 -4.726 0.000 11.133" Properties=species:S:1:pos:R:3 pbc="T T T"
Nb -0.295 0.310 1.795
Nb -2.658 -0.310 7.362
Nb 8.159 0.310 3.771
Nb 5.796 -0.310 9.338
V 0.578 4.081 7.501
V 2.561 4.081 9.199
V 2.941 -4.081 1.935
V 4.923 -4.081 3.632
Br 1.888 4.082 5.226
Br 1.842 1.849 2.144
Br -1.925 0.549 9.808
Br 5.976 4.082 0.340
Br 0.438 -0.549 4.242
Br 1.569 1.936 8.350
Br -0.521 -1.849 7.711
Br 6.022 1.849 3.423
Br 3.932 -1.936 2.783
Br 5.063 0.549 6.892
Br -0.475 -4.082 10.793
Br 7.426 -0.549 1.325
Br 3.659 -1.849 8.989
Br 3.613 -4.082 5.907
```

Largest 10 diffraction maxima, low angle first, 5° ≤ 2θ ≤ 70°:
two_theta	I (rel.)
11.91	100
12.11	24
15.92	13
26.77	33
27.36	20
27.57	21
28.25	15
30.05	14
37.90	30
55.29	14

=====

This entry pairs a crystal structure of NbZn2Br8 with its theoretical PXRD pattern. Radiation: CuKα. Structure: the PBE geometry in Alexandria.
Peak positions follow from Bragg's law for the DFT cell and can differ from measured ones.

Cell and atoms:
```
11
Lattice="7.520 -4.081 0.000 7.520 4.081 0.000 -0.120 0.000 6.455" Properties=species:S:1:pos:R:3 pbc="T T T"
Nb 0.000 0.000 0.000
Zn 2.384 0.000 3.932
Zn 12.535 0.000 2.523
Br 2.182 0.000 1.379
Br 6.465 2.274 1.568
Br 8.454 2.274 4.887
Br 4.645 0.000 4.381
Br 10.275 0.000 2.074
Br 6.465 -2.274 1.568
Br 8.454 -2.274 4.887
Br 12.738 0.000 5.076
```

Largest 10 diffraction maxima, low angle first, 5° ≤ 2θ ≤ 70°:
two_theta	I (rel.)
12.34	100
18.28	21
18.57	24
24.82	39
27.67	65
28.36	73
37.31	26
42.32	38
43.86	18
44.40	21

=====

This entry pairs a crystal structure of Nd3Br2 with its theoretical PXRD pattern. Radiation: CuKα. Structure: the PBE geometry in Alexandria.
Peak positions follow from Bragg's law for the DFT cell and can differ from measured ones.

Cell and atoms:
```
10
Lattice="3.664 2.116 6.721 -3.664 2.116 6.721 0.000 -4.231 6.721" Properties=species:S:1:pos:R:3 pbc="T T T"
Nd -2.412 0.054 8.401
Nd -1.253 -2.061 11.762
Nd 1.159 -2.116 8.401
Nd -1.159 2.116 11.762
Nd 1.253 2.061 8.401
Nd 2.411 -0.054 11.762
Br 0.000 0.000 3.346
Br 0.000 0.000 6.735
Br 0.000 0.000 13.427
Br 0.000 0.000 16.817
```

Largest 10 diffraction maxima, low angle first, 5° ≤ 2θ ≤ 70°:
two_theta	I (rel.)
26.52	10
27.73	100
36.27	51
42.74	39
47.57	23
51.01	10
51.71	18
57.27	13
65.85	8
69.27	14

=====

This entry pairs a crystal structure of Nd2BrO2 with its theoretical PXRD pattern. Radiation: CuKα. Structure: the PBE geometry in Alexandria.
Peak positions follow from Bragg's law for the DFT cell and can differ from measured ones.

Cell and atoms:
```
5
Lattice="3.910 0.000 0.000 0.000 3.910 0.000 0.000 0.000 6.650" Properties=species:S:1:pos:R:3 pbc="T T T"
Nd 0.000 0.000 1.388
Nd 0.000 0.000 5.261
Br 1.955 1.955 3.325
O 0.000 1.955 0.000
O 1.955 0.000 0.000
```

Largest 10 diffraction maxima, low angle first, 5° ≤ 2θ ≤ 70°:
two_theta	I (rel.)
22.74	60
26.45	48
32.38	65
35.44	100
42.53	22
46.45	34
52.32	13
52.95	28
54.25	13
59.76	44

=====

This entry pairs a crystal structure of Nd2Br3O with its theoretical PXRD pattern. Radiation: CuKα. Structure: the PBE geometry in Alexandria.
Peak positions follow from Bragg's law for the DFT cell and can differ from measured ones.

Cell and atoms:
```
12
Lattice="9.107 -2.059 0.000 9.107 2.059 0.000 -6.360 0.000 9.650" Properties=species:S:1:pos:R:3 pbc="T T T"
Nd -1.538 0.000 4.412
Nd 5.288 0.000 2.113
Nd 6.565 0.000 7.537
Nd 13.392 0.000 5.239
Br 2.989 0.000 0.089
Br 2.676 0.000 3.675
Br 3.565 0.000 7.353
Br 8.288 0.000 2.298
Br 9.177 0.000 5.976
Br 8.865 0.000 9.561
O -2.774 0.000 6.430
O 14.628 0.000 3.220
```

Largest 10 diffraction maxima, low angle first, 5° ≤ 2θ ≤ 70°:
two_theta	I (rel.)
9.16	24
10.10	66
25.43	37
26.93	30
31.14	100
34.89	22
41.38	19
41.92	19
43.98	19
54.87	21

=====

This entry pairs a crystal structure of Pm2NdBrO4 with its theoretical PXRD pattern. Radiation: CuKα. Structure: the PBE geometry in Alexandria.
Peak positions follow from Bragg's law for the DFT cell and can differ from measured ones.

Cell and atoms:
```
8
Lattice="4.044 0.000 0.000 0.000 4.044 0.000 0.000 0.000 9.436" Properties=species:S:1:pos:R:3 pbc="T T T"
Pm 0.000 0.000 2.278
Pm 0.000 0.000 7.158
Nd 2.022 2.022 4.718
Br 2.022 2.022 0.000
O 0.000 2.022 3.261
O 0.000 2.022 6.175
O 2.022 0.000 3.261
O 2.022 0.000 6.175
```

Largest 10 diffraction maxima, low angle first, 5° ≤ 2θ ≤ 70°:
two_theta	I (rel.)
9.37	10
29.08	100
31.28	31
38.15	10
44.83	19
50.13	25
54.33	35
60.29	11
63.47	10
65.26	6

=====

This entry pairs a crystal structure of NdSeBrO4 with its theoretical PXRD pattern. Radiation: CuKα. Structure: the PBE geometry in Alexandria.
Peak positions follow from Bragg's law for the DFT cell and can differ from measured ones.

Cell and atoms:
```
14
Lattice="5.241 -3.679 0.000 5.241 3.679 0.000 -1.683 0.000 6.702" Properties=species:S:1:pos:R:3 pbc="T T T"
Nd 2.195 0.000 0.912
Nd 6.603 0.000 5.790
Se 2.580 0.000 4.934
Se 6.218 0.000 1.768
Br -1.050 0.000 5.070
Br 9.849 0.000 1.632
O 1.834 1.284 5.764
O 2.161 0.000 3.340
O 4.587 0.000 1.562
O 1.834 -1.284 5.764
O 6.964 1.284 0.938
O 4.212 0.000 5.139
O 6.638 0.000 3.361
O 6.964 -1.284 0.938
```

Largest 10 diffraction maxima, low angle first, 5° ≤ 2θ ≤ 70°:
two_theta	I (rel.)
13.21	37
24.19	100
24.42	31
26.60	27
29.13	50
32.47	22
34.65	27
34.95	40
45.74	22
48.10	23

=====

This entry pairs a crystal structure of Nd3TcBr2O6 with its theoretical PXRD pattern. Radiation: CuKα. Structure: the PBE geometry in Alexandria.
Peak positions follow from Bragg's law for the DFT cell and can differ from measured ones.

Cell and atoms:
```
12
Lattice="5.855 -3.381 0.000 5.855 3.381 0.000 -1.085 0.000 5.807" Properties=species:S:1:pos:R:3 pbc="T T T"
Nd 0.000 0.000 0.000
Nd 2.385 1.691 2.903
Nd 2.385 -1.691 2.903
Tc 5.313 0.000 2.903
Br 1.700 0.000 5.137
Br 8.926 0.000 0.669
O 4.477 1.575 4.038
O 6.148 1.575 1.769
O 3.598 0.000 1.979
O 7.028 0.000 3.827
O 4.477 -1.575 4.038
O 6.148 -1.575 1.769
```

Largest 10 diffraction maxima, low angle first, 5° ≤ 2θ ≤ 70°:
two_theta	I (rel.)
20.56	33
22.59	92
28.64	29
30.62	100
30.80	38
31.08	70
33.07	52
41.82	44
41.98	31
46.13	32

=====

- What is the formula in the seventh record?
  Nd3Br2